[1]
Theoretical X-ray powder pattern of ZnPdPt2N6 for Cu Ka, from a DFT-relaxed cell (GGA-PBE, OQMD).
Kinematic intensities with the Lorentz-polarization factor, no thermal factor.

The 8 most intense peaks (2θ = 10–90°), low angle first:
5.450 Å, I 45; 2.824 Å, I 100; 2.752 Å, I 85; 2.725 Å, I 40; 2.294 Å, I 56; 1.755 Å, I 55; 1.593 Å, I 31; 1.416 Å, I 27

Cell and atoms:
a b c (Å): 6.373 6.373 3.188
angles (deg): 90.00 90.00 117.58
Element x y z (fractional)
Zn: 0.000 0.000 0.000
Pd: 0.500 0.500 0.000
Pt: 0.000 0.500 0.500
Pt: 0.500 0.000 0.500
N: 0.124 0.876 0.500
N: 0.223 0.575 0.000
N: 0.425 0.777 0.000
N: 0.575 0.223 0.000
N: 0.777 0.425 0.000
N: 0.876 0.124 0.500

[2]
Theoretical X-ray powder pattern of GdHoIr2 for Cu Ka, from a DFT-relaxed cell (GGA-PBE, OQMD).
Kinematic intensities with the Lorentz-polarization factor, no thermal factor.

The 8 most intense peaks (2θ = 10–90°), low angle first:
4.436 Å, I 18; 2.773 Å, I 48; 2.610 Å, I 31; 2.484 Å, I 57; 2.228 Å, I 100; 2.137 Å, I 31; 1.653 Å, I 16; 1.542 Å, I 16

Cell and atoms:
a b c (Å): 4.273 5.591 7.289
angles (deg): 90.00 90.00 90.00
Element x y z (fractional)
Gd: 0.000 0.131 0.000
Gd: 0.000 0.869 0.500
Ho: 0.500 0.368 0.646
Ho: 0.500 0.632 0.146
Ir: 0.000 0.386 0.362
Ir: 0.000 0.614 0.862
Ir: 0.500 0.120 0.286
Ir: 0.500 0.880 0.786

[3]
Theoretical X-ray powder pattern of TlHg6S4Br5 for Cu Ka, from a DFT-relaxed cell (GGA-PBE, OQMD).
Kinematic intensities with the Lorentz-polarization factor, no thermal factor.

The 8 most intense peaks (2θ = 10–90°), low angle first:
5.285 Å, I 31; 4.611 Å, I 30; 3.224 Å, I 100; 2.860 Å, I 67; 2.733 Å, I 68; 2.642 Å, I 61; 2.255 Å, I 34; 1.771 Å, I 37

Cell and atoms:
a b c (Å): 11.254 11.254 11.254
angles (deg): 99.24 99.24 132.76
Element x y z (fractional)
Tl: 0.250 0.750 0.500
Tl: 0.750 0.250 0.500
Hg: 0.065 0.202 0.787
Hg: 0.202 0.415 0.137
Hg: 0.265 0.638 0.903
Hg: 0.278 0.065 0.863
Hg: 0.362 0.265 0.627
Hg: 0.415 0.278 0.213
Hg: 0.585 0.722 0.787
Hg: 0.638 0.735 0.373
Hg: 0.722 0.935 0.137
Hg: 0.735 0.362 0.097
Hg: 0.798 0.585 0.863
Hg: 0.935 0.798 0.213
S: 0.035 0.362 0.929
S: 0.106 0.035 0.673
S: 0.362 0.433 0.327
S: 0.433 0.106 0.071
S: 0.567 0.894 0.929
S: 0.638 0.567 0.673
S: 0.894 0.965 0.327
S: 0.965 0.638 0.071
Br: 0.000 0.000 0.000
Br: 0.071 0.674 0.745
Br: 0.186 0.434 0.621
Br: 0.326 0.071 0.397
Br: 0.434 0.814 0.248
Br: 0.500 0.500 0.000
Br: 0.566 0.186 0.752
Br: 0.674 0.929 0.603
Br: 0.814 0.566 0.379
Br: 0.929 0.326 0.255

[4]
Theoretical X-ray powder pattern of Lu2Pd2O5 for Cu Ka, from a DFT-relaxed cell (GGA-PBE, OQMD).
Kinematic intensities with the Lorentz-polarization factor, no thermal factor.

The 8 most intense peaks (2θ = 10–90°), low angle first:
2.812 Å, I 70; 2.579 Å, I 100; 2.164 Å, I 18; 1.988 Å, I 40; 1.575 Å, I 45; 1.406 Å, I 12; 1.258 Å, I 12; 1.234 Å, I 10

Cell and atoms:
a b c (Å): 3.977 3.977 6.777
angles (deg): 90.00 90.00 90.00
Element x y z (fractional)
Lu: 0.000 0.000 0.000
Lu: 0.000 0.000 0.500
Pd: 0.500 0.500 0.190
Pd: 0.500 0.500 0.810
O: 0.000 0.500 0.225
O: 0.000 0.500 0.775
O: 0.500 0.000 0.225
O: 0.500 0.000 0.775
O: 0.500 0.500 0.500

[5]
Theoretical X-ray powder pattern of Pu2Ge5Pd3 for Cu Ka, from a DFT-relaxed cell (GGA-PBE, OQMD).
Kinematic intensities with the Lorentz-polarization factor, no thermal factor.

The 8 most intense peaks (2θ = 10–90°), low angle first:
3.970 Å, I 27; 3.066 Å, I 22; 2.683 Å, I 100; 2.634 Å, I 76; 2.605 Å, I 64; 2.151 Å, I 77; 1.858 Å, I 26; 1.686 Å, I 25

Cell and atoms:
a b c (Å): 8.508 8.508 8.508
angles (deg): 105.51 89.56 137.76
Element x y z (fractional)
Pu: 0.132 0.229 0.361
Pu: 0.368 0.729 0.097
Pu: 0.632 0.271 0.903
Pu: 0.868 0.771 0.639
Ge: 0.029 0.750 0.279
Ge: 0.103 0.661 0.763
Ge: 0.250 0.250 0.000
Ge: 0.397 0.161 0.558
Ge: 0.471 0.750 0.721
Ge: 0.529 0.250 0.279
Ge: 0.603 0.839 0.442
Ge: 0.750 0.750 0.000
Ge: 0.897 0.339 0.237
Ge: 0.971 0.250 0.721
Pd: 0.142 0.893 0.035
Pd: 0.250 0.750 0.500
Pd: 0.358 0.393 0.751
Pd: 0.642 0.607 0.249
Pd: 0.750 0.250 0.500
Pd: 0.858 0.107 0.965

[6]
Theoretical X-ray powder pattern of Cu5Ag4 for Cu Ka, from a DFT-relaxed cell (GGA-PBE, OQMD).
Kinematic intensities with the Lorentz-polarization factor, no thermal factor.

The 8 most intense peaks (2θ = 10–90°), low angle first:
2.532 Å, I 39; 2.326 Å, I 31; 2.251 Å, I 61; 2.162 Å, I 100; 2.103 Å, I 50; 1.644 Å, I 20; 1.295 Å, I 19; 1.210 Å, I 15

Cell and atoms:
a b c (Å): 14.068 14.068 14.068
angles (deg): 168.29 166.58 17.85
Element x y z (fractional)
Cu: 0.000 0.000 0.000
Cu: 0.092 0.092 0.000
Cu: 0.453 0.453 0.000
Cu: 0.547 0.547 0.000
Cu: 0.908 0.908 0.000
Ag: 0.216 0.216 0.000
Ag: 0.351 0.351 0.000
Ag: 0.649 0.649 0.000
Ag: 0.784 0.784 0.000